Entry 1:
Starting from the PBE geometry in the Materials Project, the powder XRD pattern of CaPtPb was calculated for a wavelength of 1.5418 Å.

Largest 10 diffraction maxima, in order of rising 2θ, 10° ≤ 2θ ≤ 90°:
- 16.06°, I = 40.4, hkl 1 0 1
- 21.46°, I = 66.2, hkl 0 1 1
- 24.18°, I = 59.1, hkl 2 0 0
- 30.97°, I = 36.1, hkl 1 1 2
- 32.52°, I = 89.6, hkl 2 1 1
- 37.46°, I = 100.0, hkl 0 1 3
- 37.69°, I = 63.4, hkl 0 2 0
- 38.23°, I = 39.0, hkl 3 0 1
- 45.09°, I = 52.4, hkl 2 1 3
- 47.00°, I = 31.1, hkl 3 1 2

Cell and atoms:
a = 7.3621 Å, b = 4.7725 Å, c = 8.3333 Å
α = 90.00°, β = 90.00°, γ = 90.00°
Space group Pnma (No. 62)
Symmetry-distinct sites (fractional):
Ca  0.0197  0.2500  0.1925 [4 per cell]
Pt  0.2268  0.7500  0.4014 [4 per cell]
Pb  0.1712  0.2500  0.5766 [4 per cell]

***

Entry 2:
Starting from the PBE geometry in the Materials Project, the powder XRD pattern of LiCu6OF11 was calculated for a wavelength of 1.5418 Å.

Largest 10 diffraction maxima, in order of rising 2θ, 10° ≤ 2θ ≤ 90°:
- 19.17°, I = 20.5, hkl 0 0 2
- 26.83°, I = 73.3, hkl 1 1 1
- 27.26°, I = 100.0, hkl -1 1 1
- 28.92°, I = 52.2, hkl 0 0 3
- 31.99°, I = 28.1, hkl 1 -1 2
- 32.15°, I = 41.7, hkl 1 1 -2
- 34.58°, I = 20.5, hkl 0 2 -1
- 38.32°, I = 16.7, hkl 1 1 3
- 52.94°, I = 19.7, hkl 2 2 -1
- 56.26°, I = 23.4, hkl -2 2 2

Cell and atoms:
a = 4.6215 Å, b = 5.4237 Å, c = 9.2641 Å
α = 89.32°, β = 89.14°, γ = 89.44°
Space group P1 (No. 1)
Symmetry-distinct sites (fractional):
Li  0.0000  0.0000  0.0000 [1 per cell]
Cu  0.2317  0.2972  0.8319 [1 per cell]
Cu  0.2542  0.9795  0.2471 [1 per cell]
Cu  0.2553  0.6381  0.5340 [1 per cell]
Cu  0.6955  0.7986  0.8248 [1 per cell]
Cu  0.7680  0.4754  0.2260 [1 per cell]
Cu  0.8230  0.1668  0.5851 [1 per cell]
O  0.9164  0.0873  0.7824 [1 per cell]
F  0.0196  0.5865  0.7673 [1 per cell]
F  0.0478  0.2474  0.1410 [1 per cell]
F  0.0547  0.9352  0.4676 [1 per cell]
F  0.4075  0.0142  0.9343 [1 per cell]
F  0.4647  0.3564  0.6160 [1 per cell]
F  0.4743  0.6897  0.3003 [1 per cell]
F  0.5118  0.5160  0.9171 [1 per cell]
F  0.5275  0.8440  0.6168 [1 per cell]
F  0.5564  0.1961  0.2949 [1 per cell]
F  0.9735  0.4339  0.4476 [1 per cell]
F  0.9755  0.7613  0.1487 [1 per cell]